This entry pairs a crystal structure of Tl3Hg3Au with its simulated powder diffraction line list. Radiation: Cu Kα (weighted mean of Kα1 and Kα2). Structure: a GGA-PBE-relaxed structure.

Structure:
```
Tl3Hg3Au
1.0
5.8969 -8.7030 0.0000
5.8969 8.7030 0.0000
-3.5886 0.0000 7.8664
Tl Hg Au
12 12 4
direct
0.0000 0.0000 0.0000
0.0002 0.4827 0.4660
0.1480 0.5978 0.1357
0.1804 0.2652 0.4211
0.2768 0.1107 0.7386
0.4022 0.8520 0.8643
0.5173 0.9998 0.5340
0.6851 0.3149 0.0000
0.7348 0.8196 0.5789
0.7533 0.0629 0.2528
0.8893 0.7232 0.2614
0.9371 0.2467 0.7472
0.0381 0.7882 0.7163
0.2118 0.9619 0.2837
0.2614 0.5054 0.8053
0.2649 0.3337 0.0723
0.3942 0.6058 0.5000
0.4286 0.1290 0.1404
0.4946 0.7386 0.1947
0.5061 0.4034 0.7032
0.5966 0.4939 0.2968
0.6663 0.7351 0.9277
0.6888 0.3112 0.5000
0.8710 0.5714 0.8596
0.2166 0.7834 0.5000
0.7096 0.0303 0.8693
0.9697 0.2904 0.1307
0.9752 0.0248 0.5000
```

Largest 10 diffraction maxima, by angle, 2θ = 10–90°:
| Position (°2θ) | I (rel.) |
| --- | --- |
| 30.1 | 28.7 |
| 30.6 | 100.0 |
| 31.4 | 35.4 |
| 31.6 | 26.9 |
| 32.0 | 25.0 |
| 32.1 | 41.9 |
| 35.2 | 21.9 |
| 37.1 | 23.0 |
| 38.1 | 27.5 |
| 39.5 | 22.8 |